Starting from DFT lattice parameters and positions (GGA-PBE), the powder XRD pattern of CaErZnRh was simulated for Cu Kα X-rays.

Most intense lines, 2θ = 15–90°, by angle:
- 22.08 deg, I 25.7
- 25.55 deg, I 0.7
- 36.44 deg, I 100.0
- 43.02 deg, I 14.1
- 52.49 deg, I 17.2
- 57.61 deg, I 6.2
- 65.58 deg, I 34.5
- 70.12 deg, I 4.7
- 77.41 deg, I 10.6
- 81.69 deg, I 4.8
- 88.72 deg, I 15.3

Structural model:
abc: 4.931 4.931 4.931
angles: 60.00 60.00 60.00
Sites, in units of the cell vectors:
1 Ca 0.000 0.000 0.000
2 Er 0.500 0.500 0.500
3 Zn 0.750 0.750 0.750
4 Rh 0.250 0.250 0.250